Entry 1:
RbW3Br7: simulated powder diffraction line list (Cu Kα (λ = 1.5418 Å)), based on the GGA-PBE geometry in the Materials Project.
Neutral-atom scattering factors, no anomalous dispersion.

Principal peaks in the range 5° ≤ 2θ ≤ 70°, by intensity:
2θ (°)	I_rel
10.43	100.0
9.38	66.3
14.57	27.9
11.12	25.8
13.76	20.2
14.32	15.9
40.10	13.1
46.60	9.9

Cell and atoms:
```
44
Lattice="10.4815 -7.9555 0.0000 10.4815 7.9555 0.0000 -4.3744 0.0000 9.0326" Properties=species:S:1:pos:R:3 pbc="T T T"
Rb 0.0000 0.0000 0.0000
Rb -2.1872 0.0000 4.5163
Rb 7.2007 1.0963 6.7744
Rb 9.3879 -1.0963 2.2581
W -0.0204 2.3982 8.5565
W 2.2644 3.5459 7.8496
W 6.1284 3.0643 1.3779
W 2.1668 -2.3982 4.0402
W 12.6473 3.0643 3.1384
W 12.1369 3.5459 5.6993
W 4.4516 -3.5459 3.3333
W 3.9412 -3.0643 5.8942
W 14.4217 2.3982 4.9924
W 10.4601 -3.0643 7.6546
W 14.3241 -3.5459 1.1830
W 16.6089 -2.3982 0.4761
Br 5.6226 5.0677 3.0435
Br 3.8449 1.9245 2.0784
Br -1.2249 0.1240 7.8482
Br 0.9623 -0.1240 3.3319
Br 8.4206 4.2322 0.6512
Br 4.2083 2.9488 6.2092
Br 2.2568 1.0550 8.7630
Br 10.3551 4.2322 3.8651
Br 7.3918 1.7490 3.2923
Br 13.1531 5.0677 1.4728
Br 1.6578 -1.9245 6.5947
Br 4.4440 -1.0550 4.2467
Br 11.3839 1.7490 1.2240
Br 10.1930 2.9488 7.3397
Br 6.3955 -2.9488 1.6929
Br 5.2046 -1.7490 7.8086
Br 12.1445 1.0550 4.7859
Br 14.9308 1.9245 2.4379
Br 3.4354 -5.0677 7.5598
Br 9.1967 -1.7490 5.7403
Br 6.2334 -4.2322 5.1675
Br 14.3317 -1.0550 0.2696
Br 12.3802 -2.9488 2.8234
Br 8.1679 -4.2322 8.3814
Br 15.6262 0.1240 5.7007
Br 17.8134 -0.1240 1.1844
Br 12.7436 -1.9245 6.9542
Br 10.9659 -5.0677 5.9891
```

***

Entry 2:
Sn7Ir2Os: simulated powder diffraction line list (Cu Kα (λ = 1.5418 Å)), based on the GGA-PBE geometry in the Materials Project.
Neutral-atom scattering factors, no anomalous dispersion.

Principal peaks in the range 5° ≤ 2θ ≤ 70°, by intensity:
2θ (°)	I_rel
40.23	100.0
40.31	87.4
32.65	61.8
22.93	54.3
35.34	45.7
46.82	24.4
58.33	21.5
63.41	19.7

Cell and atoms:
```
20
Lattice="0.0000 6.7147 6.7091 4.7612 0.0000 6.7091 4.7612 6.7147 0.0000" Properties=species:S:1:pos:R:3 pbc="T T T"
Sn 6.3117 4.5139 5.0014
Sn 6.3016 6.7147 2.8160
Sn 4.7612 1.6725 6.7091
Sn 2.3806 3.3574 1.6874
Sn 3.2208 6.7147 2.8160
Sn 3.2107 4.5139 5.0014
Sn 6.3117 8.9156 5.0014
Sn 6.3213 6.7147 7.2142
Sn 4.7612 5.0180 10.0539
Sn 7.1419 10.0721 8.3965
Sn 3.2107 8.9156 5.0014
Sn 3.2012 6.7147 7.2142
Sn 4.7612 11.7570 6.7091
Sn 4.7612 8.4114 10.0539
Ir 8.0338 6.7147 5.0121
Ir 4.7612 4.4202 7.3056
Ir 4.7612 9.0092 7.3056
Ir 1.4886 6.7147 5.0121
Os 4.7612 4.4016 2.7004
Os 4.7612 9.0278 2.7004
```

***

Repeat the first record exactly.
RbW3Br7: simulated powder diffraction line list (Cu Kα (λ = 1.5418 Å)), based on the GGA-PBE geometry in the Materials Project.
Neutral-atom scattering factors, no anomalous dispersion.

Principal peaks in the range 5° ≤ 2θ ≤ 70°, by intensity:
2θ (°)	I_rel
10.43	100.0
9.38	66.3
14.57	27.9
11.12	25.8
13.76	20.2
14.32	15.9
40.10	13.1
46.60	9.9

Cell and atoms:
```
44
Lattice="10.4815 -7.9555 0.0000 10.4815 7.9555 0.0000 -4.3744 0.0000 9.0326" Properties=species:S:1:pos:R:3 pbc="T T T"
Rb 0.0000 0.0000 0.0000
Rb -2.1872 0.0000 4.5163
Rb 7.2007 1.0963 6.7744
Rb 9.3879 -1.0963 2.2581
W -0.0204 2.3982 8.5565
W 2.2644 3.5459 7.8496
W 6.1284 3.0643 1.3779
W 2.1668 -2.3982 4.0402
W 12.6473 3.0643 3.1384
W 12.1369 3.5459 5.6993
W 4.4516 -3.5459 3.3333
W 3.9412 -3.0643 5.8942
W 14.4217 2.3982 4.9924
W 10.4601 -3.0643 7.6546
W 14.3241 -3.5459 1.1830
W 16.6089 -2.3982 0.4761
Br 5.6226 5.0677 3.0435
Br 3.8449 1.9245 2.0784
Br -1.2249 0.1240 7.8482
Br 0.9623 -0.1240 3.3319
Br 8.4206 4.2322 0.6512
Br 4.2083 2.9488 6.2092
Br 2.2568 1.0550 8.7630
Br 10.3551 4.2322 3.8651
Br 7.3918 1.7490 3.2923
Br 13.1531 5.0677 1.4728
Br 1.6578 -1.9245 6.5947
Br 4.4440 -1.0550 4.2467
Br 11.3839 1.7490 1.2240
Br 10.1930 2.9488 7.3397
Br 6.3955 -2.9488 1.6929
Br 5.2046 -1.7490 7.8086
Br 12.1445 1.0550 4.7859
Br 14.9308 1.9245 2.4379
Br 3.4354 -5.0677 7.5598
Br 9.1967 -1.7490 5.7403
Br 6.2334 -4.2322 5.1675
Br 14.3317 -1.0550 0.2696
Br 12.3802 -2.9488 2.8234
Br 8.1679 -4.2322 8.3814
Br 15.6262 0.1240 5.7007
Br 17.8134 -0.1240 1.1844
Br 12.7436 -1.9245 6.9542
Br 10.9659 -5.0677 5.9891
```

***

- What is the formula in the second record?
  Sn7Ir2Os